This entry pairs a crystal structure of KTa2Hg2O7 with its theoretical powder XRD pattern. Radiation: λ = 1.5418 Å (Cu Kα). Structure: DFT lattice parameters and positions (GGA-PBE).
Kinematic intensities with the Lorentz-polarization factor, no thermal factor.

Cell and atoms:
a = 9.1607 Å, b = 9.1607 Å, c = 9.1607 Å
α = 39.86°, β = 39.86°, γ = 39.86°
Atoms (fractional coordinates):
K  0.0000  0.0000  0.0000
Ta  0.4237  0.4237  0.4237
Ta  0.5763  0.5763  0.5763
Hg  0.2819  0.2819  0.2819
Hg  0.7181  0.7181  0.7181
O  0.1191  0.3998  0.6753
O  0.3247  0.6002  0.8809
O  0.3998  0.6753  0.1191
O  0.5000  0.5000  0.5000
O  0.6002  0.8809  0.3247
O  0.6753  0.1191  0.3998
O  0.8809  0.3247  0.6002

Top 12 peaks for 2θ = 10–80°, most intense first:
2θ = 28.59°, rel. 100
2θ = 16.76°, rel. 91
2θ = 29.76°, rel. 90
2θ = 51.37°, rel. 39
2θ = 41.74°, rel. 35
2θ = 10.50°, rel. 32
2θ = 21.10°, rel. 30
2θ = 35.80°, rel. 30
2θ = 50.63°, rel. 26
2θ = 67.64°, rel. 18
2θ = 53.53°, rel. 16
2θ = 69.48°, rel. 16

=====

This entry pairs a crystal structure of KHg3P with its theoretical powder XRD pattern. Radiation: λ = 1.5418 Å (Cu Kα). Structure: DFT lattice parameters and positions (GGA-PBE).
Kinematic intensities with the Lorentz-polarization factor, no thermal factor.

Cell and atoms:
a = 4.4375 Å, b = 6.1061 Å, c = 6.8929 Å
α = 94.94°, β = 108.43°, γ = 111.06°
Atoms (fractional coordinates):
K  0.0000  0.0000  0.0000
Hg  0.1061  0.5035  0.7041
Hg  0.3384  0.0934  0.5719
Hg  0.9069  0.5353  0.2816
P  0.3508  0.5966  0.1043

Top 12 peaks for 2θ = 10–80°, most intense first:
2θ = 22.11°, rel. 100
2θ = 29.00°, rel. 98
2θ = 32.25°, rel. 73
2θ = 13.90°, rel. 66
2θ = 43.44°, rel. 56
2θ = 23.32°, rel. 52
2θ = 30.97°, rel. 52
2θ = 15.97°, rel. 51
2θ = 40.66°, rel. 50
2θ = 31.09°, rel. 48
2θ = 23.15°, rel. 48
2θ = 33.36°, rel. 39

=====

This entry pairs a crystal structure of KHg3P with its theoretical powder XRD pattern. Radiation: λ = 1.5418 Å (Cu Kα). Structure: DFT lattice parameters and positions (GGA-PBE).
Kinematic intensities with the Lorentz-polarization factor, no thermal factor.

Cell and atoms:
a = 6.0713 Å, b = 6.8533 Å, c = 7.4736 Å
α = 73.89°, β = 87.82°, γ = 88.00°
Atoms (fractional coordinates):
K  0.0000  0.0000  0.0000
K  0.0281  0.3673  0.4189
Hg  0.2482  0.5320  0.9100
Hg  0.4881  0.1383  0.1875
Hg  0.5088  0.6359  0.3012
Hg  0.5482  0.2766  0.7017
Hg  0.7167  0.8666  0.5603
Hg  0.7554  0.5282  0.9555
P  0.1144  0.8703  0.4414
P  0.3144  0.9189  0.6601

Top 12 peaks for 2θ = 10–80°, most intense first:
2θ = 14.61°, rel. 100
2θ = 31.39°, rel. 53
2θ = 28.52°, rel. 49
2θ = 32.93°, rel. 48
2θ = 32.82°, rel. 47
2θ = 36.26°, rel. 47
2θ = 34.12°, rel. 41
2θ = 31.52°, rel. 41
2θ = 29.85°, rel. 35
2θ = 15.55°, rel. 34
2θ = 39.48°, rel. 28
2θ = 20.68°, rel. 28

=====

This entry pairs a crystal structure of KHg3P with its theoretical powder XRD pattern. Radiation: λ = 1.5418 Å (Cu Kα). Structure: DFT lattice parameters and positions (GGA-PBE).
Kinematic intensities with the Lorentz-polarization factor, no thermal factor.

Cell and atoms:
a = 5.7535 Å, b = 7.0836 Å, c = 8.6921 Å
α = 88.04°, β = 78.57°, γ = 70.22°
Atoms (fractional coordinates):
K  0.0000  0.0000  0.0000
K  0.0196  0.5023  0.7576
Hg  0.0205  0.8296  0.3753
Hg  0.3581  0.1292  0.2697
Hg  0.4644  0.4584  0.0142
Hg  0.5066  0.7617  0.6162
Hg  0.6110  0.2178  0.5976
Hg  0.8893  0.5248  0.1848
P  0.4908  0.5129  0.4334
P  0.5643  0.9830  0.8049

Top 12 peaks for 2θ = 10–80°, most intense first:
2θ = 28.40°, rel. 100
2θ = 10.39°, rel. 60
2θ = 32.27°, rel. 59
2θ = 29.51°, rel. 57
2θ = 29.27°, rel. 44
2θ = 31.49°, rel. 40
2θ = 29.94°, rel. 39
2θ = 35.27°, rel. 36
2θ = 17.86°, rel. 36
2θ = 32.70°, rel. 32
2θ = 40.63°, rel. 32
2θ = 16.60°, rel. 31

=====

What did the first record say?
This entry pairs a crystal structure of KTa2Hg2O7 with its theoretical powder XRD pattern. Radiation: λ = 1.5418 Å (Cu Kα). Structure: DFT lattice parameters and positions (GGA-PBE).
Kinematic intensities with the Lorentz-polarization factor, no thermal factor.

Cell and atoms:
a = 9.1607 Å, b = 9.1607 Å, c = 9.1607 Å
α = 39.86°, β = 39.86°, γ = 39.86°
Atoms (fractional coordinates):
K  0.0000  0.0000  0.0000
Ta  0.4237  0.4237  0.4237
Ta  0.5763  0.5763  0.5763
Hg  0.2819  0.2819  0.2819
Hg  0.7181  0.7181  0.7181
O  0.1191  0.3998  0.6753
O  0.3247  0.6002  0.8809
O  0.3998  0.6753  0.1191
O  0.5000  0.5000  0.5000
O  0.6002  0.8809  0.3247
O  0.6753  0.1191  0.3998
O  0.8809  0.3247  0.6002

Top 12 peaks for 2θ = 10–80°, most intense first:
2θ = 28.59°, rel. 100
2θ = 16.76°, rel. 91
2θ = 29.76°, rel. 90
2θ = 51.37°, rel. 39
2θ = 41.74°, rel. 35
2θ = 10.50°, rel. 32
2θ = 21.10°, rel. 30
2θ = 35.80°, rel. 30
2θ = 50.63°, rel. 26
2θ = 67.64°, rel. 18
2θ = 53.53°, rel. 16
2θ = 69.48°, rel. 16